This entry pairs a crystal structure of KCr2FeH2O8 with its theoretical X-ray diffraction stick pattern. Radiation: a wavelength of 1.5418 Å. Structure: a cell relaxed with PBE+U.
Intensities are scaled so that the largest is 100.

Crystal structure
```
data_KCr2FeH2O8
_chemical_formula_sum 'K2 Cr4 Fe2 H4 O16'
_cell_length_a 8.6541
_cell_length_b 5.6571
_cell_length_c 7.8349
_cell_angle_alpha 90.00
_cell_angle_beta 90.57
_cell_angle_gamma 90.00
_space_group_name_H-M_alt 'C 1 2/m 1'
_space_group_IT_number 12
loop_
_space_group_symop_operation_xyz
'x,y,z'
'-x,-y,-z'
'-x,y,-z'
'x,-y,z'
'x+1/2,y+1/2,z'
'-x+1/2,-y+1/2,-z'
'-x+1/2,y+1/2,-z'
'x+1/2,-y+1/2,z'
loop_
_atom_site_label
_atom_site_fract_x
_atom_site_fract_y
_atom_site_fract_z
K1 0.0000 0.0000 0.0000
Cr1 0.1189 0.5000 0.2885
Fe1 0.0000 0.0000 0.5000
H1 0.1995 0.5000 0.5795
O1 0.0098 0.2483 0.3194
O2 0.1890 0.5000 0.0957
O3 0.2440 0.0000 0.5287
```

Principal peaks in the range 2θ = 15–90°, in order of rising 2θ:
- d 4.062, intensity 74, hkl 1 1 -1
- d 3.772, intensity 69, hkl 2 0 1
- d 3.026, intensity 100, hkl 1 1 -2
- d 3.010, intensity 70, hkl 1 1 2
- d 2.829, intensity 57, hkl 0 2 0
- d 2.570, intensity 75, hkl 3 1 0